Cd6InAu10: computed PXRD pattern (a wavelength of 1.5418 Å), based on DFT lattice parameters and positions (PBE).

Top 10 peaks for 10 to 90 degrees two-theta, in order of rising 2θ:
h k l	Position (°2θ)	d [Å]	I (rel.)
2 1 0	33.20	2.699	12.8
3 -1 1	36.83	2.440	44.3
3 0 0	37.80	2.380	78.9
1 1 2	38.33	2.348	100.0
4 -2 2	54.92	1.672	24.8
3 2 1	58.63	1.575	13.6
3 3 0	68.29	1.373	11.7
4 1 2	68.60	1.368	16.2
2 -1 4	69.66	1.350	18.2
6 -1 1	76.06	1.251	11.5

Atomic structure:
```
Cd6InAu10
1.0
8.245 0.000 0.000
-4.122 7.140 0.000
0.000 0.000 5.715
Cd In Au
6 1 10
Direct
0.000 0.375 0.299
0.000 0.625 0.701
0.375 0.000 0.299
0.375 0.375 0.701
0.625 0.000 0.701
0.625 0.625 0.299
0.000 0.000 0.500
0.000 0.276 0.820
0.000 0.724 0.180
0.276 0.000 0.820
0.276 0.276 0.180
0.333 0.667 0.000
0.333 0.667 0.500
0.667 0.333 0.000
0.667 0.333 0.500
0.724 0.000 0.180
0.724 0.724 0.820
```